The following is a calculated powder X-ray diffraction pattern of RbCd11Ge. It was derived from a structure optimized by DFT (PBE), using Cu Kα.

Crystal structure
Cell lengths 7.8690, 7.8690, 7.8581 Å; angles 98.09, 98.09, 135.30 degrees
Fractional coordinates of all 13 atoms:
Rb1 0.0000 0.0000 0.0000
Cd1 0.0000 0.0000 0.5000
Cd2 0.0000 0.5000 0.0000
Cd3 0.0025 0.3575 0.3566
Cd4 0.2823 0.5017 0.7787
Cd5 0.3575 0.0025 0.3566
Cd6 0.4983 0.7177 0.2213
Cd7 0.5000 0.0000 0.0000
Cd8 0.5017 0.2823 0.7787
Cd9 0.6425 0.9975 0.6434
Cd10 0.7177 0.4983 0.2213
Cd11 0.9975 0.6425 0.6434
Ge1 0.5000 0.5000 0.5000

Top 10 peaks for 2θ = 15–90°, sorted by position:
2θ = 29.9°, intensity 23.8; 2θ = 30.1°, intensity 15.3; 2θ = 34.6°, intensity 44.8; 2θ = 34.8°, intensity 100.0; 2θ = 34.9°, intensity 14.2; 2θ = 38.7°, intensity 13.5; 2θ = 39.0°, intensity 34.6; 2θ = 39.0°, intensity 23.7; 2θ = 39.1°, intensity 44.7; 2θ = 62.1°, intensity 22.2

***

The following is a calculated powder X-ray diffraction pattern of K2CaRhF6. It was derived from a structure optimized by DFT (PBE), using Cu Kα.

Crystal structure
Cell lengths 6.2871, 8.5224, 6.2915 Å; angles 90.00, 90.00, 90.00 degrees
Fractional coordinates of all 20 atoms:
K1 0.2500 0.0000 0.2494
K2 0.2500 0.5000 0.2494
K3 0.7500 0.0000 0.7506
K4 0.7500 0.5000 0.7506
Ca1 0.2500 0.2500 0.7496
Ca2 0.7500 0.7500 0.2504
Rh1 0.2500 0.7500 0.7504
Rh2 0.7500 0.2500 0.2496
F1 0.0003 0.2500 0.9986
F2 0.9997 0.7500 0.0014
F3 0.0006 0.2500 0.5004
F4 0.2500 0.5120 0.7505
F5 0.2500 0.9880 0.7505
F6 0.4994 0.2500 0.5004
F7 0.4997 0.2500 0.9986
F8 0.5003 0.7500 0.0014
F9 0.5006 0.7500 0.4996
F10 0.7500 0.0120 0.2495
F11 0.7500 0.4880 0.2495
F12 0.9994 0.7500 0.4996

Top 10 peaks for 2θ = 15–90°, sorted by position:
2θ = 17.5°, intensity 39.7; 2θ = 20.0°, intensity 40.0; 2θ = 28.4°, intensity 52.8; 2θ = 29.0°, intensity 100.0; 2θ = 40.6°, intensity 63.8; 2θ = 42.4°, intensity 27.4; 2θ = 50.7°, intensity 39.8; 2θ = 51.8°, intensity 18.2; 2θ = 58.7°, intensity 18.6; 2θ = 60.1°, intensity 33.8